Calculated XRD peak list
Compound: CaAc2MnO6
Radiation: copper Kα
Structure: a DFT-relaxed cell (PBE+U, Alexandria)
Lines closer than 0.1° are merged.

Structural model:
```
CaAc2MnO6
1.0
5.734 0.000 0.000
0.000 5.734 0.000
0.000 0.000 4.550
Ca Ac Mn O
1 2 1 6
direct
0.000 0.000 0.000
0.000 0.500 0.443
0.500 0.000 0.443
0.500 0.500 0.020
0.000 0.000 0.518
0.271 0.271 0.099
0.271 0.729 0.099
0.500 0.500 0.614
0.729 0.271 0.099
0.729 0.729 0.099
```

Principal peaks in the range 2θ from 10° to 80°, low angle first:
2θ (°)  I_rel  index
19.51  30.2  0 0 1
21.92  35.7  1 1 0
29.51  100.0  1 1 1
31.20  43.3  2 0 0
37.06  36.0  2 0 1
44.70  24.7  2 2 0
45.73  18.3  1 1 2
51.27  23.7  2 0 2
54.47  36.7  3 1 1
61.24  12.7  2 2 2